Simulated PXRD pattern
Compound: ZnSnPb2Se5
Radiation: Cu Kα (λ = 1.5418 Å)
Structure: a crystal structure in Alexandria, relaxed with GGA-PBE
Lines closer than 0.1° are merged.

Cell: 9.416 9.416 13.120 Å, 90.00 90.00 155.27°
Fractional positions:
Zn 0.070 0.930 0.500
Zn 0.930 0.070 0.000
Sn 0.272 0.728 0.085
Sn 0.728 0.272 0.585
Pb 0.384 0.616 0.351
Pb 0.414 0.586 0.702
Pb 0.586 0.414 0.202
Pb 0.616 0.384 0.851
Se 0.003 0.997 0.340
Se 0.129 0.871 0.041
Se 0.203 0.797 0.446
Se 0.238 0.762 0.731
Se 0.433 0.567 0.110
Se 0.567 0.433 0.610
Se 0.762 0.238 0.231
Se 0.797 0.203 0.946
Se 0.871 0.129 0.541
Se 0.997 0.003 0.840

The 6 most intense peaks (10° ≤ 2θ ≤ 80°), sorted by position:
- 22.52 deg, rel. 73.0
- 26.39 deg, rel. 52.3
- 29.93 deg, rel. 42.4
- 30.54 deg, rel. 100.0
- 35.76 deg, rel. 46.9
- 44.95 deg, rel. 38.0